Diffraction record for Li3CoB2O6. The X-ray diffraction stick pattern is theoretical, not measured: it uses a DFT-relaxed cell (PBE+U, Alexandria) and Cu Kα (λ = 1.5418 Å).

Main lines, by intensity (2θ = 10–80°):
index	2theta	I_rel
0 2 2	31.79	100
0 1 0	14.46	77
1 0 1	20.99	69
0 1 2	23.59	61
1 -1 2	35.70	61
1 1 1	23.46	55
1 0 0	17.68	33
0 0 2	23.13	32
-1 1 2	29.97	31
0 1 1	15.74	28
2 0 0	35.80	28
2 1 2	42.81	23

abc: 5.0183 6.3889 8.0166
angles: 73.53 88.92 88.81
Positions (direct):
Li (0.1652, 0.2581, 0.3950)
Li (0.1799, 0.9590, 0.7388)
Li (0.3218, 0.0969, 0.0730)
Li (0.6782, 0.9031, 0.9270)
Li (0.8201, 0.0410, 0.2612)
Li (0.8348, 0.7419, 0.6050)
Co (0.3511, 0.4438, 0.7292)
Co (0.6489, 0.5562, 0.2708)
B (0.1674, 0.6794, 0.0948)
B (0.3425, 0.8319, 0.4283)
B (0.6575, 0.1681, 0.5717)
B (0.8326, 0.3206, 0.9052)
O (0.1131, 0.3228, 0.9046)
O (0.2034, 0.9938, 0.3170)
O (0.2331, 0.7226, 0.5929)
O (0.2924, 0.5187, 0.2281)
O (0.3013, 0.8345, 0.9748)
O (0.3912, 0.2245, 0.6053)
O (0.6088, 0.7755, 0.3947)
O (0.6987, 0.1655, 0.0252)
O (0.7076, 0.4813, 0.7719)
O (0.7669, 0.2774, 0.4071)
O (0.7966, 0.0062, 0.6830)
O (0.8869, 0.6772, 0.0954)